[1]
Calculated powder XRD pattern of TaCuGe2O8 for Cu Kα, from a GGA-PBE-relaxed structure.
No peak broadening, texture or thermal motion is included.

Crystal structure
```
12
Lattice="-3.219 3.219 3.236 3.219 -3.219 3.236 3.219 3.219 -3.236" Properties=species:S:1:pos:R:3 pbc="T T T"
Ta 0.000 0.000 0.000
Cu 0.000 3.219 1.618
Ge 3.219 0.000 1.618
Ge 0.000 0.000 3.236
O 1.919 0.000 0.456
O 4.520 0.000 0.456
O 3.219 2.001 -1.319
O 3.219 -1.300 2.780
O 0.000 1.218 1.917
O 3.219 1.300 2.780
O 2.001 3.219 1.319
O 1.218 0.000 4.555
```

Peak list (10 most intense, 10 to 90 degrees two-theta, in order of falling intensity)
| 2θ/deg | I (rel.) |
| --- | --- |
| 27.7 | 100 |
| 34.0 | 99 |
| 53.2 | 72 |
| 19.5 | 51 |
| 39.6 | 20 |
| 68.3 | 20 |
| 64.5 | 17 |
| 57.2 | 16 |
| 64.7 | 15 |
| 81.9 | 14 |

[2]
Calculated powder XRD pattern of Ac3BiPb for Cu Kα, from a GGA-PBE-relaxed structure.
No peak broadening, texture or thermal motion is included.

Crystal structure
```
20
Lattice="6.589 -6.405 0.000 6.589 6.405 0.000 -0.003 0.000 9.605" Properties=species:S:1:pos:R:3 pbc="T T T"
Ac 5.384 5.137 5.610
Ac 3.292 2.295 7.752
Ac 7.788 5.137 8.798
Ac 5.347 1.255 3.994
Ac 3.293 -2.295 2.950
Ac 7.829 1.255 0.808
Ac 5.345 -1.255 8.797
Ac 9.881 2.295 6.655
Ac 7.827 -1.255 5.611
Ac 5.386 -5.137 0.807
Ac 9.882 -2.295 1.853
Ac 7.790 -5.137 3.995
Bi 6.588 4.427 2.401
Bi 6.586 1.934 7.204
Bi 6.588 -1.934 2.401
Bi 6.586 -4.427 7.204
Pb 3.261 0.739 1.189
Pb 3.259 -0.739 5.991
Pb 9.915 0.739 3.614
Pb 9.913 -0.739 8.416
```

Peak list (10 most intense, 10 to 90 degrees two-theta, in order of falling intensity)
| 2θ/deg | I (rel.) |
| --- | --- |
| 31.2 | 100 |
| 28.4 | 78 |
| 23.3 | 76 |
| 30.6 | 74 |
| 29.4 | 70 |
| 31.9 | 49 |
| 45.1 | 41 |
| 33.0 | 38 |
| 28.8 | 34 |
| 27.9 | 30 |

[3]
Calculated powder XRD pattern of Zn2Pd3O8 for Cu Kα, from a GGA-PBE-relaxed structure.
No peak broadening, texture or thermal motion is included.

Crystal structure
```
13
Lattice="4.922 -3.014 0.000 4.922 3.014 0.000 -1.061 0.000 5.183" Properties=species:S:1:pos:R:3 pbc="T T T"
Zn 1.861 0.000 0.453
Zn 6.921 0.000 4.729
Pd 4.391 1.514 2.591
Pd 4.922 0.000 0.000
Pd 4.391 -1.514 2.591
O 0.674 0.000 2.031
O 3.567 1.368 0.711
O 3.214 0.000 3.267
O 5.215 1.368 4.472
O 3.567 -1.368 0.711
O 5.568 0.000 1.916
O 5.215 -1.368 4.472
O 8.108 0.000 3.152
```

Peak list (10 most intense, 10 to 90 degrees two-theta, in order of falling intensity)
| 2θ/deg | I (rel.) |
| --- | --- |
| 18.4 | 100 |
| 34.4 | 99 |
| 61.5 | 78 |
| 37.5 | 76 |
| 34.6 | 57 |
| 33.2 | 51 |
| 31.5 | 48 |
| 54.4 | 48 |
| 27.7 | 45 |
| 48.8 | 42 |

[4]
Calculated powder XRD pattern of TbPr2Nd2Y2 for Cu Kα, from a GGA-PBE-relaxed structure.
No peak broadening, texture or thermal motion is included.

Crystal structure
```
7
Lattice="5.764 -2.578 0.000 5.764 2.578 0.000 -1.159 0.000 8.062" Properties=species:S:1:pos:R:3 pbc="T T T"
Tb 0.000 0.000 0.000
Pr 1.151 0.000 3.443
Pr 9.217 0.000 4.619
Nd 4.622 0.000 2.271
Nd 5.747 0.000 5.791
Y 2.293 0.000 6.934
Y 8.076 0.000 1.128
```

Peak list (10 most intense, 10 to 90 degrees two-theta, in order of falling intensity)
| 2θ/deg | I (rel.) |
| --- | --- |
| 30.0 | 100 |
| 59.5 | 43 |
| 50.1 | 36 |
| 34.8 | 34 |
| 34.8 | 17 |
| 81.4 | 14 |
| 84.0 | 12 |
| 62.4 | 6 |
| 62.4 | 6 |
| 73.5 | 6 |

[5]
Calculated powder XRD pattern of Nd8Y6Pu for Cu Kα, from a GGA-PBE-relaxed structure.
No peak broadening, texture or thermal motion is included.

Crystal structure
```
15
Lattice="4.586 2.648 6.939 -4.586 2.648 6.939 0.000 -5.296 6.939" Properties=species:S:1:pos:R:3 pbc="T T T"
Nd 0.000 0.000 1.605
Nd -0.200 -1.998 7.554
Nd -1.630 1.172 7.554
Nd -1.830 -0.826 13.265
Nd 1.830 0.826 7.554
Nd 1.630 -1.172 13.265
Nd 0.200 1.998 13.265
Nd 0.000 0.000 19.213
Y -3.207 -1.090 9.608
Y -0.659 -3.323 11.210
Y -2.548 2.233 11.210
Y 2.548 -2.233 9.608
Y 0.659 3.323 9.608
Y 3.207 1.090 11.210
Pu 0.000 0.000 10.409
```

Peak list (10 most intense, 10 to 90 degrees two-theta, in order of falling intensity)
| 2θ/deg | I (rel.) |
| --- | --- |
| 31.0 | 100 |
| 31.1 | 72 |
| 32.1 | 53 |
| 30.1 | 34 |
| 36.3 | 28 |
| 34.5 | 22 |
| 14.0 | 21 |
| 54.6 | 18 |
| 59.5 | 17 |
| 52.5 | 16 |

[6]
Calculated powder XRD pattern of AcInH for Cu Kα, from a GGA-PBE-relaxed structure.
No peak broadening, texture or thermal motion is included.

Crystal structure
```
24
Lattice="7.153 0.000 0.000 0.000 8.401 0.000 0.000 0.000 9.979" Properties=species:S:1:pos:R:3 pbc="T T T"
Ac 1.635 2.100 2.495
Ac 1.788 0.000 6.010
Ac 1.788 4.201 8.959
Ac 1.942 6.301 2.495
Ac 5.211 2.100 7.484
Ac 5.364 0.000 3.969
Ac 5.364 4.201 1.020
Ac 5.518 6.301 7.484
In 0.743 1.039 9.290
In 0.743 3.161 5.679
In 2.833 5.240 5.679
In 2.833 7.362 9.290
In 4.320 1.039 0.689
In 4.320 3.161 4.300
In 6.409 5.240 4.300
In 6.409 7.362 0.689
H 0.690 8.401 3.675
H 0.690 4.201 1.314
H 2.886 0.000 3.675
H 2.886 4.201 1.314
H 4.266 8.401 6.304
H 4.266 4.201 8.665
H 6.462 0.000 6.304
H 6.462 4.201 8.665
```

Peak list (10 most intense, 10 to 90 degrees two-theta, in order of falling intensity)
| 2θ/deg | I (rel.) |
| --- | --- |
| 26.2 | 100 |
| 29.6 | 95 |
| 24.9 | 31 |
| 28.6 | 31 |
| 27.8 | 29 |
| 49.6 | 25 |
| 65.5 | 24 |
| 37.6 | 24 |
| 33.2 | 24 |
| 39.0 | 24 |

[7]
Calculated powder XRD pattern of Th4B3PtRh12 for Cu Kα, from a GGA-PBE-relaxed structure.
No peak broadening, texture or thermal motion is included.

Crystal structure
```
20
Lattice="-4.398 4.398 4.398 4.398 -4.398 4.398 4.398 4.398 -4.398" Properties=species:S:1:pos:R:3 pbc="T T T"
Th 2.199 2.199 -2.199
Th 2.199 -2.199 2.199
Th -2.199 2.199 2.199
Th 2.199 2.199 2.199
B 4.398 0.000 0.000
B 0.000 4.398 0.000
B 0.000 0.000 4.398
Pt 0.000 0.000 0.000
Rh 2.474 0.000 0.000
Rh 6.322 0.000 0.000
Rh 4.398 2.199 0.000
Rh 4.398 0.000 2.199
Rh 0.000 2.474 0.000
Rh 0.000 0.000 2.474
Rh 2.199 4.398 0.000
Rh 2.199 0.000 4.398
Rh 0.000 6.322 0.000
Rh 0.000 0.000 6.322
Rh 0.000 4.398 2.199
Rh 0.000 2.199 4.398
```

Peak list (10 most intense, 10 to 90 degrees two-theta, in order of falling intensity)
| 2θ/deg | I (rel.) |
| --- | --- |
| 35.4 | 100 |
| 41.0 | 74 |
| 59.4 | 47 |
| 28.7 | 36 |
| 71.1 | 35 |
| 74.8 | 15 |
| 50.9 | 13 |
| 38.3 | 10 |
| 82.0 | 10 |
| 67.3 | 9 |

[8]
Calculated powder XRD pattern of RbTl9Pb3 for Cu Kα, from a GGA-PBE-relaxed structure.
No peak broadening, texture or thermal motion is included.

Crystal structure
```
13
Lattice="3.311 -8.220 0.000 3.311 8.220 0.000 -3.303 0.000 8.069" Properties=species:S:1:pos:R:3 pbc="T T T"
Rb 0.000 0.000 0.000
Tl 0.034 5.279 5.196
Tl 0.010 1.767 6.347
Tl 3.285 5.279 2.873
Tl 3.309 1.767 1.722
Tl 1.660 0.000 4.034
Tl 0.010 -1.767 6.347
Tl 0.034 -5.279 5.196
Tl 3.309 -1.767 1.722
Tl 3.285 -5.279 2.873
Pb -1.651 0.000 4.034
Pb 1.655 4.110 0.000
Pb 1.655 -4.110 0.000
```

Peak list (10 most intense, 10 to 90 degrees two-theta, in order of falling intensity)
| 2θ/deg | I (rel.) |
| --- | --- |
| 31.1 | 100 |
| 34.8 | 76 |
| 35.0 | 75 |
| 26.9 | 48 |
| 30.9 | 48 |
| 31.3 | 45 |
| 31.2 | 40 |
| 55.3 | 35 |
| 15.4 | 34 |
| 34.6 | 31 |